No. 1
Calculated XRD peak list
Compound: CaMg2PbN
Radiation: Cu Kα
Structure: DFT lattice parameters and positions (GGA-PBE)
Neutral-atom scattering factors, no anomalous dispersion.

Peak list (10 most intense, 5° ≤ 2θ ≤ 70°, low angle first)
| d (Å) | Position (°2θ) | I/Imax |
| --- | --- | --- |
| 4.914 | 18.05 | 44 |
| 4.466 | 19.88 | 46 |
| 3.305 | 26.98 | 67 |
| 3.158 | 28.26 | 43 |
| 2.657 | 33.74 | 100 |
| 2.457 | 36.57 | 24 |
| 2.233 | 40.40 | 36 |
| 1.850 | 49.25 | 27 |
| 1.653 | 55.62 | 28 |
| 1.357 | 69.22 | 25 |

Structure:
```
data_CaMg2PbN
_symmetry_space_group_name_H-M 'P 4/m m m'
_symmetry_Int_Tables_number 123
_symmetry_space_group_name_Hall '-P 4 2'
_cell_length_a 4.4658
_cell_length_b 4.4658
_cell_length_c 4.9145
_cell_angle_alpha 90.00
_cell_angle_beta 90.00
_cell_angle_gamma 90.00
loop_
_atom_site_label
_atom_site_fract_x
_atom_site_fract_y
_atom_site_fract_z
Ca1 0.0000 0.0000 0.0000
Mg1 0.0000 0.5000 0.5000
Pb1 0.5000 0.5000 0.0000
N1 0.0000 0.0000 0.5000
```

***

No. 2
Calculated XRD peak list
Compound: Cu2OsAu
Radiation: Cu Kα
Structure: DFT lattice parameters and positions (GGA-PBE)
Neutral-atom scattering factors, no anomalous dispersion.

Peak list (10 most intense, 5° ≤ 2θ ≤ 70°, low angle first)
| d (Å) | Position (°2θ) | I/Imax |
| --- | --- | --- |
| 4.489 | 19.78 | 38 |
| 2.404 | 37.41 | 16 |
| 2.282 | 39.48 | 31 |
| 2.245 | 40.18 | 29 |
| 2.119 | 42.67 | 100 |
| 2.034 | 44.54 | 10 |
| 1.641 | 56.06 | 11 |
| 1.600 | 57.60 | 20 |
| 1.414 | 66.08 | 7 |
| 1.349 | 69.73 | 3 |

Structure:
```
data_Cu2OsAu
_symmetry_space_group_name_H-M 'C m m m'
_symmetry_Int_Tables_number 65
_symmetry_space_group_name_Hall '-C 2 2'
_cell_length_a 2.8278
_cell_length_b 4.5646
_cell_length_c 8.9783
_cell_angle_alpha 90.00
_cell_angle_beta 90.00
_cell_angle_gamma 90.00
loop_
_atom_site_label
_atom_site_fract_x
_atom_site_fract_y
_atom_site_fract_z
Cu1 0.0000 0.0000 0.2422
Os1 0.0000 0.5000 0.0000
Au1 0.0000 0.5000 0.5000
```

***

No. 3
Calculated XRD peak list
Compound: SrCoP2Os
Radiation: Cu Kα
Structure: DFT lattice parameters and positions (GGA-PBE)
Neutral-atom scattering factors, no anomalous dispersion.

Peak list (10 most intense, 5° ≤ 2θ ≤ 70°, low angle first)
| d (Å) | Position (°2θ) | I/Imax |
| --- | --- | --- |
| 5.937 | 14.92 | 67 |
| 3.690 | 24.12 | 48 |
| 2.969 | 30.10 | 32 |
| 2.772 | 32.30 | 48 |
| 2.492 | 36.04 | 100 |
| 2.016 | 44.98 | 23 |
| 1.941 | 46.80 | 36 |
| 1.625 | 56.65 | 22 |
| 1.605 | 57.40 | 36 |
| 1.590 | 58.01 | 18 |

Structure:
```
data_SrCoP2Os
_symmetry_space_group_name_H-M 'I -4 m 2'
_symmetry_Int_Tables_number 119
_symmetry_space_group_name_Hall 'I -4 -2'
_cell_length_a 3.8823
_cell_length_b 3.8823
_cell_length_c 11.8749
_cell_angle_alpha 90.00
_cell_angle_beta 90.00
_cell_angle_gamma 90.00
loop_
_atom_site_label
_atom_site_fract_x
_atom_site_fract_y
_atom_site_fract_z
Sr1 0.0000 0.0000 0.0000
Co1 0.0000 0.5000 0.2500
P1 0.0000 0.0000 0.3527
Os1 0.0000 0.5000 0.7500
```